This entry pairs a crystal structure of Ba2CrNi with its simulated X-ray powder pattern. Radiation: a wavelength of 1.5418 Å. Structure: DFT lattice parameters and positions (GGA-PBE).

Main lines, low angle first (10 to 90 degrees two-theta):
- 24.4°, d = 3.644 Å, I = 49
- 28.0°, d = 3.184 Å, I = 100
- 28.2°, d = 3.168 Å, I = 91
- 34.7°, d = 2.589 Å, I = 62
- 37.3°, d = 2.414 Å, I = 29
- 40.6°, d = 2.223 Å, I = 23
- 45.1°, d = 2.012 Å, I = 19
- 47.5°, d = 1.913 Å, I = 23
- 50.0°, d = 1.823 Å, I = 39
- 61.9°, d = 1.499 Å, I = 21

```
Ba2CrNi
1.0
4.4469 0.0000 0.0000
0.0000 2.4137 6.3583
0.0000 -2.4137 6.3583
Ba Cr Ni
2 1 1
Direct
0.0000 0.0000 0.0000
0.5000 0.2778 0.2778
0.0000 0.6856 0.6856
0.5000 0.6049 0.6049
```

This entry pairs a crystal structure of BaCr2NiS8 with its simulated X-ray powder pattern. Radiation: a wavelength of 1.5418 Å. Structure: DFT lattice parameters and positions (GGA-PBE).

Main lines, low angle first (10 to 90 degrees two-theta):
- 22.3°, d = 3.987 Å, I = 100
- 30.6°, d = 2.921 Å, I = 41
- 31.1°, d = 2.879 Å, I = 22
- 32.4°, d = 2.767 Å, I = 51
- 32.8°, d = 2.728 Å, I = 29
- 37.2°, d = 2.419 Å, I = 40
- 38.2°, d = 2.356 Å, I = 24
- 49.7°, d = 1.834 Å, I = 22
- 52.7°, d = 1.736 Å, I = 44
- 54.4°, d = 1.686 Å, I = 32

```
BaCr2NiS8
1.0
2.9207 1.6863 8.6370
-2.9207 1.6863 8.6370
0.0000 -3.3725 8.6370
Ba Cr Ni S
1 2 1 8
Direct
0.0000 0.0000 0.0000
0.2463 0.2463 0.2463
0.7537 0.7537 0.7537
0.5000 0.5000 0.5000
0.1207 0.7749 0.4484
0.2251 0.5516 0.8793
0.3269 0.3269 0.3269
0.4484 0.1207 0.7749
0.5516 0.8793 0.2251
0.6731 0.6731 0.6731
0.7749 0.4484 0.1207
0.8793 0.2251 0.5516
```